Record 1
TaNbPd2S6: calculated XRD peak list (Cu Kα, 1.54184 Å), based on a structure optimized by DFT (PBE).
No peak broadening, texture or thermal motion is included.

Most intense lines, 2θ = 5–70°, sorted by position:
Position (°2θ), I_rel, index
14.3, 38, 2 0 0
23.0, 98, 3 1 0
25.1, 50, 2 2 -1
27.6, 85, 2 2 1
29.1, 100, 1 3 -1
29.9, 46, 0 0 2
35.2, 38, 3 1 -2
44.8, 43, 5 3 -1
48.8, 58, 5 3 1
51.8, 52, 1 3 -3

Cell and atoms:
a = 12.5779 Å, b = 10.8924 Å, c = 6.0523 Å
α = 90.00°, β = 98.99°, γ = 90.00°
Space group C2/c (No. 15)
Asymmetric unit:
Ta1 0.0000 0.1009 0.2500 (multiplicity 4)
Nb1 0.0000 0.2525 0.7500 (multiplicity 4)
Pd1 0.1886 0.4253 0.3164 (multiplicity 8)
S1 0.1010 0.4103 0.6216 (multiplicity 8)
S2 0.1142 0.0770 0.6155 (multiplicity 8)
S3 0.1201 0.2396 0.1208 (multiplicity 8)

---

Record 2
NbSb3Pd: calculated XRD peak list (Cu Kα, 1.54184 Å), based on a structure optimized by DFT (PBE).
No peak broadening, texture or thermal motion is included.

Most intense lines, 2θ = 5–70°, sorted by position:
Position (°2θ), I_rel, index
16.7, 21, 1 0 0
23.7, 11, 1 1 0
29.2, 86, 1 1 1
33.8, 100, 2 0 0
37.9, 11, 2 1 0
41.7, 5, 2 1 1
48.6, 71, 2 2 0
51.7, 5, 3 0 0
57.7, 37, 3 1 1
60.5, 24, 2 2 2

Cell and atoms:
a = 5.3021 Å, b = 5.3021 Å, c = 5.3021 Å
α = 90.00°, β = 90.00°, γ = 90.00°
Space group Pm-3m (No. 221)
Asymmetric unit:
Nb1 0.0000 0.0000 0.0000 (multiplicity 1)
Sb1 0.0000 0.0000 0.5000 (multiplicity 3)
Pd1 0.5000 0.5000 0.5000 (multiplicity 1)